ZnS: theoretical powder diffraction line list (Cu Kα (weighted mean of Kα1 and Kα2)), based on a crystal structure in the Materials Project, relaxed with PBE.
Kinematic intensities with the Lorentz-polarization factor, no thermal factor.

```
ZnS
1.0
3.853 0.000 0.000
-1.927 3.337 0.000
0.000 0.000 88.155
Zn S
28 28
Cartesian
0.000 0.000 0.000 Zn
0.000 0.000 6.298 Zn
0.000 0.000 15.742 Zn
0.000 0.000 22.039 Zn
0.000 0.000 28.337 Zn
0.000 0.000 37.781 Zn
0.000 0.000 47.226 Zn
0.000 0.000 56.671 Zn
0.000 0.000 66.116 Zn
0.000 0.000 75.561 Zn
0.000 2.225 9.446 Zn
0.000 2.225 18.891 Zn
0.000 2.225 31.484 Zn
0.000 2.225 40.929 Zn
0.000 2.225 50.375 Zn
0.000 2.225 59.820 Zn
0.000 2.225 69.265 Zn
0.000 2.225 78.709 Zn
0.000 2.225 85.007 Zn
1.927 1.112 3.149 Zn
1.927 1.112 12.596 Zn
1.927 1.112 25.187 Zn
1.927 1.112 34.632 Zn
1.927 1.112 44.078 Zn
1.927 1.112 53.523 Zn
1.927 1.112 62.968 Zn
1.927 1.112 72.413 Zn
1.927 1.112 81.858 Zn
0.000 0.000 2.359 S
0.000 0.000 8.658 S
0.000 0.000 18.101 S
0.000 0.000 24.398 S
0.000 0.000 30.697 S
0.000 0.000 40.142 S
0.000 0.000 49.587 S
0.000 0.000 59.032 S
0.000 0.000 68.477 S
0.000 0.000 77.922 S
0.000 2.225 11.807 S
0.000 2.225 21.253 S
0.000 2.225 33.845 S
0.000 2.225 43.290 S
0.000 2.225 52.736 S
0.000 2.225 62.180 S
0.000 2.225 71.626 S
0.000 2.225 81.069 S
0.000 2.225 87.367 S
1.927 1.112 5.512 S
1.927 1.112 14.956 S
1.927 1.112 27.550 S
1.927 1.112 36.993 S
1.927 1.112 46.439 S
1.927 1.112 55.884 S
1.927 1.112 65.329 S
1.927 1.112 74.774 S
1.927 1.112 84.221 S
```

Top 10 peaks for 10° ≤ 2θ ≤ 90°, by intensity:
2θ 28.29, I 100
2θ 47.18, I 48
2θ 55.95, I 40
2θ 46.85, I 24
2θ 28.60, I 18
2θ 33.07, I 9
2θ 47.75, I 8
2θ 56.27, I 8
2θ 29.40, I 8
2θ 87.75, I 8